Theoretical powder XRD pattern
Compound: HgC
Radiation: Cu Kα X-rays
Structure: DFT lattice parameters and positions (PBE)

Peak list (10 most intense, 2θ from 10° to 90°, in order of rising 2θ)
- 2θ = 13.65°, I = 26, (0 1 1)
- 2θ = 16.83°, I = 38, (0 0 2)
- 2θ = 22.06°, I = 33, (1 1 1)
- 2θ = 27.61°, I = 49, (0 1 3)
- 2θ = 27.76°, I = 88, (1 2 0)
- 2θ = 32.70°, I = 100, (1 1 3)
- 2θ = 34.89°, I = 24, (2 0 0)
- 2θ = 45.06°, I = 22, (2 1 3)
- 2θ = 45.51°, I = 19, (1 3 3)
- 2θ = 60.03°, I = 19, (1 2 6)

Structural model:
Cell lengths 5.142, 8.232, 10.538 Å; angles 90.00, 90.00, 90.00 degrees
Sites, in units of the cell vectors:
Hg 0.002 0.119 0.176
Hg 0.002 0.122 0.826
Hg 0.498 0.878 0.326
Hg 0.498 0.881 0.676
Hg 0.502 0.378 0.174
Hg 0.502 0.381 0.824
Hg 0.998 0.619 0.324
Hg 0.998 0.622 0.674
C 0.122 0.251 0.500
C 0.133 0.750 0.000
C 0.367 0.250 0.500
C 0.378 0.749 0.000
C 0.622 0.249 0.500
C 0.633 0.750 0.000
C 0.867 0.250 0.500
C 0.878 0.751 0.000